No. 1
Simulated PXRD pattern of Cs3Bi2Br9 for a wavelength of 1.5418 Å, from a crystal structure in Alexandria, relaxed with PBE.

Largest 10 diffraction maxima, by angle, 10 to 90 degrees two-theta:
| d_spacing | intensity |
| --- | --- |
| 6.625 | 1000 |
| 4.035 | 697 |
| 3.575 | 702 |
| 3.312 | 725 |
| 3.121 | 806 |
| 2.901 | 922 |
| 2.676 | 872 |
| 2.230 | 397 |
| 2.017 | 832 |
| 1.928 | 403 |

Cell and atoms:
```
28
Lattice="8.070 0.000 0.000 -4.035 6.988 0.000 0.000 0.000 20.807" Properties=species:S:1:pos:R:3 pbc="T T T"
Cs 0.000 0.000 5.202
Cs 0.000 0.000 15.605
Cs 0.000 4.659 1.496
Cs 0.000 4.659 8.908
Cs 4.035 2.329 11.899
Cs 4.035 2.329 19.311
Bi 0.000 4.659 13.643
Bi 0.000 4.659 17.567
Bi 4.035 2.329 3.240
Bi 4.035 2.329 7.163
Br -2.012 3.497 5.202
Br 0.000 2.332 12.141
Br 0.000 2.332 19.070
Br -2.015 5.822 12.141
Br -2.015 5.822 19.070
Br 2.020 1.166 1.737
Br 2.020 1.166 8.666
Br 4.035 0.006 15.605
Br 2.012 3.497 5.202
Br 2.023 3.491 15.605
Br 0.000 6.983 5.202
Br 2.015 5.822 12.141
Br 2.015 5.822 19.070
Br 6.050 1.166 1.737
Br 6.050 1.166 8.666
Br 4.035 4.656 1.737
Br 4.035 4.656 8.666
Br 6.047 3.491 15.605
```

***

No. 2
Simulated PXRD pattern of CsBi2Br7 for a wavelength of 1.5418 Å, from a crystal structure in Alexandria, relaxed with PBE.

Largest 10 diffraction maxima, by angle, 10 to 90 degrees two-theta:
| d_spacing | intensity |
| --- | --- |
| 6.348 | 443 |
| 6.240 | 540 |
| 5.171 | 691 |
| 3.243 | 482 |
| 3.173 | 1000 |
| 3.156 | 498 |
| 3.114 | 479 |
| 2.122 | 450 |
| 2.075 | 460 |
| 2.061 | 472 |

Cell and atoms:
```
20
Lattice="7.825 0.000 0.000 2.297 9.765 0.000 1.208 2.350 10.524" Properties=species:S:1:pos:R:3 pbc="T T T"
Cs 1.517 1.654 1.985
Cs 9.814 10.460 8.539
Bi 2.862 4.292 5.889
Bi 4.533 6.507 1.341
Bi 6.797 5.608 9.182
Bi 8.469 7.823 4.635
Br 1.999 7.780 1.912
Br 3.064 7.390 5.982
Br 2.443 1.613 5.778
Br 4.343 6.951 10.068
Br 5.919 10.674 9.861
Br 4.259 4.199 3.456
Br 5.899 8.303 3.097
Br 5.432 3.812 7.427
Br 7.072 7.915 7.068
Br 5.412 1.440 0.663
Br 6.988 5.164 0.456
Br 8.888 10.501 4.746
Br 8.266 4.725 4.542
Br 9.331 4.334 8.612
```

***

No. 3
Simulated PXRD pattern of CsCuBiBr6 for a wavelength of 1.5418 Å, from a crystal structure in Alexandria, relaxed with PBE.

Largest 10 diffraction maxima, by angle, 10 to 90 degrees two-theta:
| d_spacing | intensity |
| --- | --- |
| 7.894 | 1000 |
| 5.401 | 917 |
| 4.785 | 852 |
| 4.650 | 710 |
| 3.767 | 538 |
| 3.175 | 388 |
| 3.066 | 435 |
| 3.043 | 666 |
| 2.576 | 639 |
| 2.485 | 374 |

Cell and atoms:
```
9
Lattice="7.037 0.000 0.000 -2.661 6.638 0.000 -0.934 -0.957 7.894" Properties=species:S:1:pos:R:3 pbc="T T T"
Cs 0.000 0.000 0.000
Cu 3.919 1.529 3.859
Bi 0.488 3.795 3.996
Br -1.519 3.743 2.066
Br -0.990 1.524 5.102
Br -0.221 5.486 6.078
Br 2.145 1.992 2.253
Br 1.845 6.072 2.710
Br 2.840 2.861 5.591
```

***

No. 4
Simulated PXRD pattern of Cs2GeBiBr6 for a wavelength of 1.5418 Å, from a crystal structure in Alexandria, relaxed with PBE.

Largest 10 diffraction maxima, by angle, 10 to 90 degrees two-theta:
| d_spacing | intensity |
| --- | --- |
| 5.771 | 261 |
| 4.080 | 957 |
| 3.332 | 621 |
| 2.895 | 507 |
| 2.881 | 1000 |
| 2.356 | 456 |
| 2.042 | 735 |
| 2.037 | 365 |
| 1.666 | 384 |
| 1.289 | 327 |

Cell and atoms:
```
10
Lattice="-4.074 4.074 5.790 4.074 -4.074 5.790 4.074 4.074 -5.790" Properties=species:S:1:pos:R:3 pbc="T T T"
Cs 4.074 0.000 2.895
Cs 0.000 4.074 2.895
Ge 0.000 0.000 0.000
Bi 0.000 0.000 5.790
Br 0.000 0.000 2.825
Br 1.989 1.989 0.000
Br 2.084 -2.084 5.790
Br -2.084 2.084 5.790
Br 0.000 0.000 8.754
Br 2.084 2.084 5.790
```